Entry 1:
For Fe2OF3, a structure optimized by DFT (GGA+U) gives the computed powder XRD pattern in this record (Cu Ka).
Lines closer than 0.1° are merged.

Structure:
```
data_Fe2OF3
_symmetry_space_group_name_H-M 'P 1 m 1'
_symmetry_Int_Tables_number 6
_symmetry_space_group_name_Hall 'P -2y'
_cell_length_a 4.839
_cell_length_b 3.144
_cell_length_c 24.034
_cell_angle_alpha 90.00
_cell_angle_beta 90.99
_cell_angle_gamma 90.00
loop_
_atom_site_label
_atom_site_type_symbol
_atom_site_fract_x
_atom_site_fract_y
_atom_site_fract_z
_atom_site_occupancy
Fe1 Fe 0.000 0.000 0.000 1
Fe2 Fe 0.003 0.000 0.800 1
Fe3 Fe 0.009 0.000 0.600 1
Fe4 Fe 0.046 0.000 0.404 1
Fe5 Fe 0.497 0.500 0.312 1
Fe6 Fe 0.533 0.500 0.108 1
Fe7 Fe 0.539 0.500 0.907 1
Fe8 Fe 0.542 0.500 0.707 1
Fe9 Fe 0.551 0.500 0.508 1
Fe10 Fe 0.992 0.000 0.201 1
O1 O 0.334 0.000 0.342 1
O2 O 0.829 0.500 0.169 1
O3 O 0.838 0.500 0.968 1
O4 O 0.841 0.500 0.768 1
O5 O 0.848 0.500 0.567 1
F1 F 0.222 0.500 0.046 1
F2 F 0.222 0.500 0.244 1
F3 F 0.224 0.500 0.846 1
F4 F 0.226 0.500 0.646 1
F5 F 0.242 0.500 0.448 1
F6 F 0.313 0.000 0.149 1
F7 F 0.322 0.000 0.949 1
F8 F 0.325 0.000 0.749 1
F9 F 0.332 0.000 0.550 1
F10 F 0.721 0.000 0.266 1
F11 F 0.737 0.000 0.461 1
F12 F 0.739 0.000 0.065 1
F13 F 0.740 0.000 0.864 1
F14 F 0.742 0.000 0.664 1
F15 F 0.828 0.500 0.360 1
```

Most intense lines, 2θ from 15° to 90°, in order of rising 2θ:
d = 3.440 Å, I = 85, hkl 1 0 -5
d = 3.381 Å, I = 87, hkl 1 0 5
d = 2.633 Å, I = 100, hkl 0 1 5
d = 2.320 Å, I = 18, hkl 1 1 -5
d = 1.789 Å, I = 27, hkl 2 1 -5
d = 1.784 Å, I = 27, hkl 1 1 -10
d = 1.772 Å, I = 26, hkl 2 1 5
d = 1.768 Å, I = 26, hkl 1 1 10
d = 1.720 Å, I = 19, hkl 2 0 -10
d = 1.435 Å, I = 18, hkl 3 1 0

---

Entry 2:
For Fe3O5F, a structure optimized by DFT (GGA+U) gives the computed powder XRD pattern in this record (Cu Ka).
Lines closer than 0.1° are merged.

Structure:
```
data_Fe3O5F
_symmetry_space_group_name_H-M 'C 1 2/m 1'
_symmetry_Int_Tables_number 12
_symmetry_space_group_name_Hall '-C 2y'
_cell_length_a 9.053
_cell_length_b 6.422
_cell_length_c 7.304
_cell_angle_alpha 90.00
_cell_angle_beta 113.68
_cell_angle_gamma 90.00
loop_
_atom_site_label
_atom_site_type_symbol
_atom_site_fract_x
_atom_site_fract_y
_atom_site_fract_z
_atom_site_occupancy
Fe1 Fe 0.000 0.000 0.000 1
Fe2 Fe 0.000 0.000 0.500 1
Fe3 Fe 0.152 0.500 0.171 1
Fe4 Fe 0.170 0.500 0.664 1
O1 O 0.000 0.305 0.500 1
O2 O 0.075 0.500 0.879 1
O3 O 0.162 0.192 0.169 1
O4 O 0.228 0.000 0.542 1
F1 F 0.106 0.000 0.802 1
```

Most intense lines, 2θ from 15° to 90°, in order of rising 2θ:
d = 3.340 Å, I = 100, hkl 2 0 -2
d = 3.211 Å, I = 97, hkl 0 2 0
d = 2.539 Å, I = 53, hkl 3 1 0
d = 2.522 Å, I = 52, hkl 1 1 2
d = 2.315 Å, I = 20, hkl 2 2 -2
d = 1.734 Å, I = 30, hkl 5 1 -2
d = 1.719 Å, I = 32, hkl 1 1 -4
d = 1.692 Å, I = 28, hkl 3 3 0
d = 1.688 Å, I = 28, hkl 1 3 2
d = 1.371 Å, I = 27, hkl 1 3 -4

---

Entry 3:
For Fe3O2F4, a structure optimized by DFT (GGA+U) gives the computed powder XRD pattern in this record (Cu Ka).
Lines closer than 0.1° are merged.

Structure:
```
data_Fe3O2F4
_symmetry_space_group_name_H-M 'C m m m'
_symmetry_Int_Tables_number 65
_symmetry_space_group_name_Hall '-C 2 2'
_cell_length_a 6.671
_cell_length_b 20.687
_cell_length_c 3.108
_cell_angle_alpha 90.00
_cell_angle_beta 90.00
_cell_angle_gamma 90.00
loop_
_atom_site_label
_atom_site_type_symbol
_atom_site_fract_x
_atom_site_fract_y
_atom_site_fract_z
_atom_site_occupancy
Fe1 Fe 0.000 0.000 0.000 1
Fe2 Fe 0.000 0.172 0.500 1
Fe3 Fe 0.000 0.325 0.000 1
Fe4 Fe 0.000 0.500 0.500 1
O1 O 0.000 0.270 0.500 1
O2 O 0.202 0.500 0.000 1
F1 F 0.000 0.065 0.500 1
F2 F 0.000 0.395 0.500 1
F3 F 0.205 0.161 0.000 1
```

Most intense lines, 2θ from 15° to 90°, in order of rising 2θ:
d = 3.448 Å, I = 98, hkl 0 6 0
d = 3.336 Å, I = 89, hkl 2 0 0
d = 2.608 Å, I = 100, hkl 1 3 1
d = 2.274 Å, I = 17, hkl 2 0 1
d = 1.781 Å, I = 61, hkl 1 9 1
d = 1.749 Å, I = 55, hkl 3 3 1
d = 1.724 Å, I = 15, hkl 0 12 0
d = 1.668 Å, I = 18, hkl 4 0 0
d = 1.554 Å, I = 18, hkl 0 0 2
d = 1.421 Å, I = 40, hkl 3 9 1

---

Entry 4:
For Fe3O5F, a structure optimized by DFT (GGA+U) gives the computed powder XRD pattern in this record (Cu Ka).
Lines closer than 0.1° are merged.

Structure:
```
data_Fe3O5F
_symmetry_space_group_name_H-M 'P 1 21 1'
_symmetry_Int_Tables_number 4
_symmetry_space_group_name_Hall 'P 2yb'
_cell_length_a 5.535
_cell_length_b 4.639
_cell_length_c 7.593
_cell_angle_alpha 90.00
_cell_angle_beta 94.56
_cell_angle_gamma 90.00
loop_
_atom_site_label
_atom_site_type_symbol
_atom_site_fract_x
_atom_site_fract_y
_atom_site_fract_z
_atom_site_occupancy
Fe1 Fe 0.075 0.000 0.337 1
Fe2 Fe 0.252 0.533 0.990 1
Fe3 Fe 0.408 0.030 0.663 1
O1 O 0.044 0.828 0.107 1
O2 O 0.119 0.211 0.551 1
O3 O 0.209 0.717 0.760 1
O4 O 0.379 0.829 0.431 1
O5 O 0.455 0.212 0.897 1
F1 F 0.285 0.323 0.230 1
```

Most intense lines, 2θ from 15° to 90°, in order of rising 2θ:
d = 3.280 Å, I = 100, hkl 1 1 -1
d = 2.526 Å, I = 53, hkl 2 0 1
d = 2.319 Å, I = 10, hkl 2 0 -2
d = 2.218 Å, I = 14, hkl 2 1 1
d = 1.709 Å, I = 44, hkl 3 1 0
d = 1.707 Å, I = 14, hkl 1 1 -4
d = 1.640 Å, I = 16, hkl 2 2 -2
d = 1.467 Å, I = 9, hkl 3 1 -3
d = 1.376 Å, I = 15, hkl 4 0 -1
d = 1.368 Å, I = 11, hkl 3 1 3

---

Entry 5:
For Fe6O7F5, a structure optimized by DFT (GGA+U) gives the computed powder XRD pattern in this record (Cu Ka).
Lines closer than 0.1° are merged.

Structure:
```
data_Fe6O7F5
_symmetry_space_group_name_H-M 'P 1'
_symmetry_Int_Tables_number 1
_symmetry_space_group_name_Hall 'P 1'
_cell_length_a 4.711
_cell_length_b 5.596
_cell_length_c 7.768
_cell_angle_alpha 85.90
_cell_angle_beta 89.44
_cell_angle_gamma 89.22
loop_
_atom_site_label
_atom_site_type_symbol
_atom_site_fract_x
_atom_site_fract_y
_atom_site_fract_z
_atom_site_occupancy
Fe1 Fe 0.000 0.000 0.000 1
Fe2 Fe 0.005 0.692 0.369 1
Fe3 Fe 0.016 0.341 0.697 1
Fe4 Fe 0.509 0.839 0.683 1
Fe5 Fe 0.536 0.155 0.340 1
Fe6 Fe 0.582 0.519 0.034 1
O1 O 0.212 0.044 0.780 1
O2 O 0.332 0.881 0.449 1
O3 O 0.710 0.802 0.908 1
O4 O 0.728 0.464 0.263 1
O5 O 0.827 0.305 0.918 1
O6 O 0.828 0.965 0.240 1
O7 O 0.830 0.635 0.592 1
F1 F 0.227 0.704 0.116 1
F2 F 0.228 0.377 0.456 1
F3 F 0.327 0.216 0.117 1
F4 F 0.328 0.536 0.790 1
F5 F 0.721 0.141 0.579 1
```

Most intense lines, 2θ from 15° to 90°, in order of rising 2θ:
d = 3.351 Å, I = 98, hkl 1 1 1
d = 3.297 Å, I = 100, hkl -1 1 1
d = 2.580 Å, I = 81, hkl 1 1 -2
d = 2.568 Å, I = 27, hkl 0 2 -1
d = 1.748 Å, I = 27, hkl 1 1 4
d = 1.732 Å, I = 28, hkl 2 0 -3
d = 1.675 Å, I = 15, hkl 2 2 2
d = 1.648 Å, I = 16, hkl -2 2 2
d = 1.541 Å, I = 19, hkl 0 2 -4
d = 1.398 Å, I = 39, hkl 3 1 -2

---

Entry 6:
For Fe4OF7, a structure optimized by DFT (GGA+U) gives the computed powder XRD pattern in this record (Cu Ka).
Lines closer than 0.1° are merged.

Structure:
```
data_Fe4OF7
_symmetry_space_group_name_H-M 'P 1 c 1'
_symmetry_Int_Tables_number 7
_symmetry_space_group_name_Hall 'P -2yc'
_cell_length_a 5.790
_cell_length_b 4.785
_cell_length_c 10.884
_cell_angle_alpha 90.00
_cell_angle_beta 97.84
_cell_angle_gamma 90.00
loop_
_atom_site_label
_atom_site_type_symbol
_atom_site_fract_x
_atom_site_fract_y
_atom_site_fract_z
_atom_site_occupancy
Fe1 Fe 0.000 0.231 0.000 1
Fe2 Fe 0.239 0.245 0.766 1
Fe3 Fe 0.507 0.249 0.519 1
Fe4 Fe 0.763 0.241 0.268 1
O1 O 0.975 0.058 0.848 1
F1 F 0.031 0.443 0.174 1
F2 F 0.231 0.036 0.591 1
F3 F 0.272 0.454 0.949 1
F4 F 0.475 0.052 0.343 1
F5 F 0.531 0.449 0.694 1
F6 F 0.740 0.058 0.082 1
F7 F 0.780 0.457 0.445 1
```

Most intense lines, 2θ from 15° to 90°, in order of rising 2θ:
d = 3.389 Å, I = 100, hkl 1 1 1
d = 2.691 Å, I = 58, hkl 1 1 -3
d = 2.346 Å, I = 21, hkl 2 1 -2
d = 1.791 Å, I = 32, hkl 0 2 4
d = 1.788 Å, I = 34, hkl 2 2 -2
d = 1.694 Å, I = 20, hkl 2 2 2
d = 1.626 Å, I = 11, hkl 2 0 -6
d = 1.467 Å, I = 7, hkl 1 1 -7
d = 1.465 Å, I = 7, hkl 3 1 -5
d = 1.432 Å, I = 12, hkl 1 3 -3

---

Entry 7:
For Fe2OF3, a structure optimized by DFT (GGA+U) gives the computed powder XRD pattern in this record (Cu Ka).
Lines closer than 0.1° are merged.

Structure:
```
data_Fe2OF3
_symmetry_space_group_name_H-M 'C 1 m 1'
_symmetry_Int_Tables_number 8
_symmetry_space_group_name_Hall 'C -2y'
_cell_length_a 6.698
_cell_length_b 6.914
_cell_length_c 3.133
_cell_angle_alpha 90.00
_cell_angle_beta 90.22
_cell_angle_gamma 90.00
loop_
_atom_site_label
_atom_site_type_symbol
_atom_site_fract_x
_atom_site_fract_y
_atom_site_fract_z
_atom_site_occupancy
Fe1 Fe 0.000 0.000 0.000 1
Fe2 Fe 0.040 0.500 0.497 1
O1 O 0.201 0.500 0.004 1
F1 F 0.010 0.210 0.499 1
F2 F 0.312 0.000 0.001 1
```

Most intense lines, 2θ from 15° to 90°, in order of rising 2θ:
d = 3.457 Å, I = 85, hkl 0 2 0
d = 3.349 Å, I = 86, hkl 2 0 0
d = 2.625 Å, I = 100, hkl 1 1 1
d = 2.321 Å, I = 19, hkl 0 2 1
d = 1.789 Å, I = 56, hkl 1 3 1
d = 1.761 Å, I = 25, hkl 3 1 -1
d = 1.755 Å, I = 25, hkl 3 1 1
d = 1.729 Å, I = 21, hkl 0 4 0
d = 1.429 Å, I = 18, hkl 3 3 -1
d = 1.426 Å, I = 28, hkl 3 3 1

---

Entry 8:
For Fe3O5F, a structure optimized by DFT (GGA+U) gives the computed powder XRD pattern in this record (Cu Ka).
Lines closer than 0.1° are merged.

Structure:
```
data_Fe3O5F
_symmetry_space_group_name_H-M 'P 1 m 1'
_symmetry_Int_Tables_number 6
_symmetry_space_group_name_Hall 'P -2y'
_cell_length_a 6.581
_cell_length_b 3.002
_cell_length_c 10.387
_cell_angle_alpha 90.00
_cell_angle_beta 108.42
_cell_angle_gamma 90.00
loop_
_atom_site_label
_atom_site_type_symbol
_atom_site_fract_x
_atom_site_fract_y
_atom_site_fract_z
_atom_site_occupancy
Fe1 Fe 0.000 0.000 0.000 1
Fe2 Fe 0.146 0.500 0.328 1
Fe3 Fe 0.325 0.000 0.649 1
Fe4 Fe 0.506 0.500 0.013 1
Fe5 Fe 0.680 0.000 0.339 1
Fe6 Fe 0.834 0.500 0.668 1
O1 O 0.026 0.000 0.666 1
O2 O 0.064 0.500 0.127 1
O3 O 0.267 0.500 0.527 1
O4 O 0.314 0.000 0.003 1
O5 O 0.603 0.500 0.214 1
O6 O 0.639 0.000 0.666 1
O7 O 0.688 0.000 0.004 1
O8 O 0.730 0.500 0.463 1
O9 O 0.937 0.500 0.875 1
O10 O 0.970 0.000 0.329 1
F1 F 0.360 0.000 0.330 1
F2 F 0.397 0.500 0.793 1
```

Most intense lines, 2θ from 15° to 90°, in order of rising 2θ:
d = 3.288 Å, I = 100, hkl 2 0 -1
d = 2.522 Å, I = 52, hkl 1 1 -2
d = 2.325 Å, I = 10, hkl 2 0 -4
d = 2.217 Å, I = 14, hkl 2 1 -1
d = 1.709 Å, I = 58, hkl 3 1 -3
d = 1.645 Å, I = 8, hkl 4 0 -2
d = 1.643 Å, I = 8, hkl 0 0 6
d = 1.501 Å, I = 8, hkl 0 2 0
d = 1.377 Å, I = 20, hkl 3 1 -6
d = 1.366 Å, I = 11, hkl 2 2 -1

---

Entry 9:
For Fe4OF7, a structure optimized by DFT (GGA+U) gives the computed powder XRD pattern in this record (Cu Ka).
Lines closer than 0.1° are merged.

Structure:
```
data_Fe4OF7
_symmetry_space_group_name_H-M 'C m c m'
_symmetry_Int_Tables_number 63
_symmetry_space_group_name_Hall '-C 2c 2'
_cell_length_a 6.364
_cell_length_b 13.611
_cell_length_c 6.897
_cell_angle_alpha 90.00
_cell_angle_beta 90.00
_cell_angle_gamma 90.00
loop_
_atom_site_label
_atom_site_type_symbol
_atom_site_fract_x
_atom_site_fract_y
_atom_site_fract_z
_atom_site_occupancy
Fe1 Fe 0.000 0.129 0.250 1
Fe2 Fe 0.000 0.370 0.750 1
Fe3 Fe 0.230 0.371 0.250 1
O1 O 0.000 0.276 0.250 1
F1 F 0.000 0.031 0.750 1
F2 F 0.000 0.221 0.750 1
F3 F 0.000 0.480 0.250 1
F4 F 0.247 0.380 0.543 1
```

Most intense lines, 2θ from 15° to 90°, in order of rising 2θ:
d = 3.449 Å, I = 89, hkl 0 0 2
d = 3.403 Å, I = 92, hkl 0 4 0
d = 2.660 Å, I = 100, hkl 2 2 1
d = 2.339 Å, I = 21, hkl 2 0 2
d = 1.797 Å, I = 58, hkl 2 2 3
d = 1.784 Å, I = 58, hkl 2 6 1
d = 1.724 Å, I = 21, hkl 0 0 4
d = 1.701 Å, I = 17, hkl 0 8 0
d = 1.591 Å, I = 17, hkl 4 0 0
d = 1.440 Å, I = 52, hkl 2 6 3

---

Entry 10:
For Fe2O3F, a structure optimized by DFT (GGA+U) gives the computed powder XRD pattern in this record (Cu Ka).
Lines closer than 0.1° are merged.

Structure:
```
data_Fe2O3F
_symmetry_space_group_name_H-M 'A m m 2'
_symmetry_Int_Tables_number 38
_symmetry_space_group_name_Hall 'A 2 -2'
_cell_length_a 9.005
_cell_length_b 6.394
_cell_length_c 6.877
_cell_angle_alpha 90.00
_cell_angle_beta 90.00
_cell_angle_gamma 90.00
loop_
_atom_site_label
_atom_site_type_symbol
_atom_site_fract_x
_atom_site_fract_y
_atom_site_fract_z
_atom_site_occupancy
Fe1 Fe 0.000 0.000 0.000 1
Fe2 Fe 0.167 0.000 0.533 1
Fe3 Fe 0.333 0.000 0.064 1
Fe4 Fe 0.500 0.000 0.524 1
O1 O 0.000 0.000 0.711 1
O2 O 0.167 0.193 0.031 1
O3 O 0.329 0.000 0.353 1
O4 O 0.500 0.192 0.048 1
F1 F 0.000 0.000 0.331 1
F2 F 0.336 0.000 0.735 1
```

Most intense lines, 2θ from 15° to 90°, in order of rising 2θ:
d = 3.439 Å, I = 100, hkl 0 0 2
d = 3.197 Å, I = 95, hkl 0 2 0
d = 2.527 Å, I = 99, hkl 3 1 1
d = 2.341 Å, I = 18, hkl 0 2 2
d = 2.262 Å, I = 17, hkl 3 0 2
d = 1.752 Å, I = 57, hkl 3 1 3
d = 1.685 Å, I = 53, hkl 3 3 1
d = 1.599 Å, I = 15, hkl 0 4 0
d = 1.501 Å, I = 16, hkl 6 0 0
d = 1.385 Å, I = 38, hkl 3 3 3

---

Entry 11:
For Fe4OF7, a structure optimized by DFT (GGA+U) gives the computed powder XRD pattern in this record (Cu Ka).
Lines closer than 0.1° are merged.

Structure:
```
data_Fe4OF7
_symmetry_space_group_name_H-M 'P 1'
_symmetry_Int_Tables_number 1
_symmetry_space_group_name_Hall 'P 1'
_cell_length_a 5.805
_cell_length_b 5.810
_cell_length_c 10.146
_cell_angle_alpha 99.61
_cell_angle_beta 100.96
_cell_angle_gamma 111.95
loop_
_atom_site_label
_atom_site_type_symbol
_atom_site_fract_x
_atom_site_fract_y
_atom_site_fract_z
_atom_site_occupancy
Fe1 Fe 0.000 0.000 0.000 1
Fe2 Fe 0.092 0.609 0.238 1
Fe3 Fe 0.268 0.244 0.508 1
Fe4 Fe 0.378 0.894 0.740 1
Fe5 Fe 0.513 0.503 0.001 1
Fe6 Fe 0.630 0.140 0.244 1
Fe7 Fe 0.740 0.755 0.492 1
Fe8 Fe 0.864 0.372 0.742 1
O1 O 0.471 0.155 0.654 1
O2 O 0.745 0.437 0.150 1
F1 F 0.046 0.843 0.392 1
F2 F 0.054 0.343 0.351 1
F3 F 0.200 0.404 0.100 1
F4 F 0.214 0.911 0.151 1
F5 F 0.288 0.598 0.844 1
F6 F 0.294 0.093 0.895 1
F7 F 0.454 0.654 0.604 1
F8 F 0.496 0.814 0.340 1
F9 F 0.559 0.354 0.400 1
F10 F 0.701 0.907 0.100 1
F11 F 0.760 0.060 0.850 1
F12 F 0.809 0.606 0.895 1
F13 F 0.946 0.151 0.595 1
F14 F 0.992 0.693 0.646 1
```

Most intense lines, 2θ from 15° to 90°, in order of rising 2θ:
d = 3.427 Å, I = 85, hkl -1 1 2
d = 3.376 Å, I = 87, hkl 1 -1 2
d = 2.693 Å, I = 100, hkl 1 1 -3
d = 2.358 Å, I = 19, hkl 0 2 1
d = 2.341 Å, I = 17, hkl 0 2 -3
d = 1.802 Å, I = 43, hkl 0 2 3
d = 1.786 Å, I = 41, hkl 0 2 -5
d = 1.713 Å, I = 19, hkl -2 2 4
d = 1.625 Å, I = 18, hkl 2 2 -2
d = 1.438 Å, I = 30, hkl 2 -4 1